Simulated X-ray diffraction stick pattern
Compound: Ce3Fe4Si4
Radiation: Cu Ka
Structure: DFT lattice parameters and positions (GGA-PBE)
Lines closer than 0.1° are merged.

Peak list (12 most intense, 10° ≤ 2θ ≤ 90°, by intensity)
Position (°2θ)	I (rel.)
35.54	100
24.93	57
39.91	56
57.71	38
30.65	35
43.90	29
63.83	28
47.63	24
75.24	20
80.70	19
54.49	18
60.82	9

Cell and atoms:
Lattice parameters (Å, degrees): 6.1869 6.1869 6.1869 109.47 109.47 109.47
Fractional coordinates of all 11 atoms:
Ce 0.0000 0.5000 0.5000
Ce 0.5000 0.0000 0.5000
Ce 0.5000 0.5000 0.0000
Fe 0.0000 0.0000 0.2562
Fe 0.0000 0.2562 0.0000
Fe 0.2562 0.0000 0.0000
Fe 0.7438 0.7438 0.7438
Si 0.0000 0.0000 0.6195
Si 0.0000 0.6195 0.0000
Si 0.3805 0.3805 0.3805
Si 0.6195 0.0000 0.0000